No. 1
This entry pairs a crystal structure of Pa3Ni3Bi4 with its calculated PXRD pattern. Radiation: Cu Kα (λ = 1.5418 Å). Structure: a DFT-relaxed cell (PBE, OQMD).
Peak positions follow from Bragg's law for the DFT cell and can differ from measured ones.

Structural model:
```
Pa3Ni3Bi4
1.0
-4.8207 4.8207 4.8207
4.8207 -4.8207 4.8207
4.8207 4.8207 -4.8207
Pa Ni Bi
6 6 8
Direct
0.1250 0.8750 0.2500
0.2500 0.1250 0.8750
0.3750 0.6250 0.7500
0.6250 0.7500 0.3750
0.7500 0.3750 0.6250
0.8750 0.2500 0.1250
0.1250 0.7500 0.8750
0.2500 0.6250 0.3750
0.3750 0.2500 0.6250
0.6250 0.3750 0.2500
0.7500 0.8750 0.1250
0.8750 0.1250 0.7500
0.0000 0.1692 0.5000
0.0000 0.6692 0.5000
0.1692 0.5000 0.0000
0.3308 0.3308 0.3308
0.5000 0.0000 0.1692
0.5000 0.0000 0.6692
0.6692 0.5000 0.0000
0.8308 0.8308 0.8308
```

Main lines, by intensity (2θ = 15–90°):
Position (°2θ), I/Imax
34.82, 100
29.29, 65
41.90, 26
59.06, 22
46.12, 19
62.42, 13
60.76, 12
71.97, 11
48.12, 10
65.68, 9



No. 2
This entry pairs a crystal structure of Zr3Ni2Bi4Pd2 with its calculated PXRD pattern. Radiation: Cu Kα (λ = 1.5418 Å). Structure: a DFT-relaxed cell (PBE, OQMD).
Peak positions follow from Bragg's law for the DFT cell and can differ from measured ones.

Structural model:
```
Zr3Ni2Bi4Pd2
1.0
7.1533 0.0000 0.0000
0.0000 4.3416 0.0000
-0.3588 0.0000 7.7442
Zr Ni Bi Pd
3 2 4 2
Direct
0.0000 0.0000 0.0000
0.0474 0.5000 0.4434
0.5467 0.0000 0.9881
0.1023 0.5000 0.7841
0.9139 0.0000 0.6639
0.2848 0.5000 0.1025
0.2894 0.0000 0.6665
0.7200 0.0000 0.3580
0.7285 0.5000 0.7703
0.3049 0.0000 0.3192
0.7957 0.5000 0.1414
```

Main lines, by intensity (2θ = 15–90°):
Position (°2θ), I/Imax
34.11, 100
40.66, 75
41.60, 51
26.89, 50
34.94, 46
24.92, 38
33.03, 32
34.75, 22
55.43, 21
23.49, 21



No. 3
This entry pairs a crystal structure of PrSmNi2Bi4 with its calculated PXRD pattern. Radiation: Cu Kα (λ = 1.5418 Å). Structure: a DFT-relaxed cell (PBE, OQMD).
Peak positions follow from Bragg's law for the DFT cell and can differ from measured ones.

Structural model:
```
PrSmNi2Bi4
1.0
4.5894 0.0000 0.0000
0.0000 4.5894 0.0000
0.0000 0.0000 9.7156
Pr Sm Ni Bi
1 1 2 4
Direct
0.0000 0.0000 0.0000
0.5000 0.5000 0.4563
0.0000 0.5000 0.2300
0.5000 0.0000 0.2300
0.0000 0.0000 0.3722
0.0000 0.5000 0.7272
0.5000 0.0000 0.7272
0.5000 0.5000 0.0873
```

Main lines, by intensity (2θ = 15–90°):
Position (°2θ), I/Imax
33.20, 100
39.26, 63
29.01, 57
27.54, 31
67.34, 26
48.63, 25
33.88, 23
46.71, 22
26.72, 22
56.73, 21



No. 4
This entry pairs a crystal structure of Zr3Ni4Bi2Sb2 with its calculated PXRD pattern. Radiation: Cu Kα (λ = 1.5418 Å). Structure: a DFT-relaxed cell (PBE, OQMD).
Peak positions follow from Bragg's law for the DFT cell and can differ from measured ones.

Structural model:
```
Zr3Ni4Bi2Sb2
1.0
-3.0782 3.0782 6.1727
3.0782 -3.0782 6.1727
3.0782 3.0782 -6.1727
Zr Ni Bi Sb
3 4 2 2
Direct
0.0000 0.0000 0.0000
0.2500 0.7500 0.5000
0.7500 0.2500 0.5000
0.1051 0.1051 0.4759
0.3708 0.8949 0.0000
0.6292 0.6292 0.5241
0.8949 0.3708 0.0000
0.0000 0.5000 0.5000
0.5000 0.0000 0.5000
0.2629 0.2629 0.0000
0.7371 0.7371 0.0000
```

Main lines, by intensity (2θ = 15–90°):
Position (°2θ), I/Imax
41.45, 100
28.98, 43
25.03, 37
75.64, 22
49.07, 12
51.37, 12
60.12, 11
68.09, 11
75.52, 10
20.40, 10



No. 5
This entry pairs a crystal structure of NiBi10Se10 with its calculated PXRD pattern. Radiation: Cu Kα (λ = 1.5418 Å). Structure: a DFT-relaxed cell (PBE, OQMD).
Peak positions follow from Bragg's law for the DFT cell and can differ from measured ones.

Structural model:
```
NiBi10Se10
1.0
11.3993 0.0000 0.0000
0.0000 12.6569 0.0000
0.0000 0.0000 8.8202
Ni Bi Se
2 20 20
Direct
0.0000 0.0000 0.0000
0.5000 0.5000 0.0000
0.0000 0.5000 0.2403
0.0000 0.5000 0.7597
0.1312 0.0817 0.2185
0.1312 0.0817 0.7815
0.1338 0.8301 0.0000
0.2488 0.8385 0.5000
0.2512 0.3385 0.5000
0.3662 0.3301 0.0000
0.3688 0.5817 0.2185
0.3688 0.5817 0.7815
0.5000 0.0000 0.2403
0.5000 0.0000 0.7597
0.6312 0.4183 0.2185
0.6312 0.4183 0.7815
0.6338 0.6699 0.0000
0.7488 0.6615 0.5000
0.7512 0.1615 0.5000
0.8662 0.1699 0.0000
0.8688 0.9183 0.2185
0.8688 0.9183 0.7815
0.0032 0.8520 0.5000
0.1506 0.5881 0.0000
0.1586 0.3108 0.1936
0.1586 0.3108 0.8064
0.1651 0.5493 0.5000
0.3349 0.0493 0.5000
0.3414 0.8108 0.1936
0.3414 0.8108 0.8064
0.3494 0.0881 0.0000
0.4968 0.3520 0.5000
0.5032 0.6480 0.5000
0.6506 0.9119 0.0000
0.6586 0.1892 0.1936
0.6586 0.1892 0.8064
0.6651 0.9507 0.5000
0.8349 0.4507 0.5000
0.8414 0.6892 0.1936
0.8414 0.6892 0.8064
0.8494 0.4119 0.0000
0.9968 0.1480 0.5000
```

Main lines, by intensity (2θ = 15–90°):
Position (°2θ), I/Imax
29.28, 100
26.51, 96
31.88, 61
25.83, 49
33.33, 40
41.91, 38
40.93, 36
37.83, 31
24.60, 30
33.03, 30



No. 6
This entry pairs a crystal structure of Ta3Ni5Bi5 with its calculated PXRD pattern. Radiation: Cu Kα (λ = 1.5418 Å). Structure: a DFT-relaxed cell (PBE, OQMD).
Peak positions follow from Bragg's law for the DFT cell and can differ from measured ones.

Structural model:
```
Ta3Ni5Bi5
1.0
6.6724 -3.0721 0.0000
6.6724 3.0721 0.0000
-6.6365 0.0000 6.7644
Ta Ni Bi
3 5 5
Direct
0.0000 0.0000 0.0000
0.3854 0.4085 0.1997
0.5915 0.6146 0.8003
0.1608 0.6843 0.7270
0.3157 0.8392 0.2730
0.5714 0.0452 0.9208
0.6922 0.3078 0.5000
0.9548 0.4286 0.0792
0.0876 0.1088 0.7677
0.2696 0.3085 0.4090
0.5030 0.4970 0.0000
0.6915 0.7304 0.5910
0.8912 0.9124 0.2323
```

Main lines, by intensity (2θ = 15–90°):
Position (°2θ), I/Imax
41.92, 100
42.21, 84
29.07, 57
29.55, 54
25.58, 54
29.93, 44
42.73, 42
42.38, 40
25.42, 34
77.54, 23



No. 7
This entry pairs a crystal structure of ZrNiBi with its calculated PXRD pattern. Radiation: Cu Kα (λ = 1.5418 Å). Structure: a DFT-relaxed cell (PBE, OQMD).
Peak positions follow from Bragg's law for the DFT cell and can differ from measured ones.

Structural model:
```
ZrNiBi
1.0
1.6738 -10.1299 0.0000
1.6738 10.1299 0.0000
0.0000 0.0000 4.0062
Zr Ni Bi
2 2 2
Direct
0.0710 0.9290 0.7500
0.9290 0.0710 0.2500
0.4649 0.5351 0.7500
0.5351 0.4649 0.2500
0.3291 0.6709 0.7500
0.6709 0.3291 0.2500
```

Main lines, by intensity (2θ = 15–90°):
Position (°2θ), I/Imax
35.22, 100
28.40, 82
47.31, 54
34.76, 45
29.79, 43
23.89, 38
42.22, 35
45.27, 30
62.90, 27
35.45, 25



No. 8
This entry pairs a crystal structure of BiOsPbO5 with its calculated PXRD pattern. Radiation: Cu Kα (λ = 1.5418 Å). Structure: a DFT-relaxed cell (PBE, OQMD).
Peak positions follow from Bragg's law for the DFT cell and can differ from measured ones.

Structural model:
```
BiOsPbO5
1.0
6.4442 -2.7323 0.0000
6.4442 2.7323 0.0000
-3.0076 0.0000 7.0427
Bi Os Pb O
2 2 2 10
Direct
0.0048 0.0048 0.2712
0.9952 0.9952 0.7288
0.3633 0.3633 0.8673
0.6367 0.6367 0.1327
0.3302 0.3302 0.3770
0.6698 0.6698 0.6230
0.1205 0.5725 0.6614
0.2246 0.2246 0.8636
0.2341 0.7659 0.5000
0.4275 0.8795 0.3386
0.4573 0.4573 0.1189
0.5427 0.5427 0.8811
0.5725 0.1205 0.6614
0.7659 0.2341 0.5000
0.7754 0.7754 0.1364
0.8795 0.4275 0.3386
```

Main lines, by intensity (2θ = 15–90°):
Position (°2θ), I/Imax
27.87, 100
28.57, 82
32.78, 37
48.21, 25
34.35, 23
45.65, 20
55.57, 19
30.88, 19
31.21, 18
55.96, 14